(1)
Ba3GeP3: theoretical powder diffractogram (copper Kα), based on a structure optimized by DFT (GGA-PBE).
Neutral-atom scattering factors, no anomalous dispersion.

Structural model:
```
data_Ba3GeP3
_symmetry_space_group_name_H-M 'P 1'
_symmetry_Int_Tables_number 1
_symmetry_space_group_name_Hall 'P 1'
_cell_length_a 10.4005
_cell_length_b 10.4005
_cell_length_c 13.1155
_cell_angle_alpha 90.00
_cell_angle_beta 90.00
_cell_angle_gamma 38.11
loop_
_atom_site_label
_atom_site_type_symbol
_atom_site_fract_x
_atom_site_fract_y
_atom_site_fract_z
Ba1 Ba 0.0024 0.6457 0.1308
Ba2 Ba 0.1457 0.5024 0.6308
Ba3 Ba 0.1671 0.8329 0.8501
Ba4 Ba 0.3329 0.6671 0.3501
Ba5 Ba 0.3543 0.9976 0.1308
Ba6 Ba 0.4976 0.8543 0.6308
Ba7 Ba 0.5024 0.1457 0.3692
Ba8 Ba 0.6457 0.0024 0.8692
Ba9 Ba 0.6671 0.3329 0.6499
Ba10 Ba 0.8329 0.1671 0.1499
Ba11 Ba 0.8543 0.4976 0.3692
Ba12 Ba 0.9976 0.3543 0.8692
Ge1 Ge 0.0849 0.0849 0.5000
Ge2 Ge 0.4151 0.4151 0.0000
Ge3 Ge 0.5849 0.5849 0.0000
Ge4 Ge 0.9151 0.9151 0.5000
P1 P 0.0312 0.6544 0.3829
P2 P 0.1544 0.5312 0.8829
P3 P 0.1986 0.8014 0.5991
P4 P 0.3014 0.6986 0.0991
P5 P 0.3456 0.9688 0.3829
P6 P 0.4688 0.8456 0.8829
P7 P 0.5312 0.1544 0.1171
P8 P 0.6544 0.0312 0.6171
P9 P 0.6986 0.3014 0.9009
P10 P 0.8014 0.1986 0.4009
P11 P 0.8456 0.4688 0.1171
P12 P 0.9688 0.3456 0.6171
```

Principal peaks in the range 2θ from 15° to 90°, low angle first:
| 2theta | d [Å] | Rel. int. |
| --- | --- | --- |
| 23.2 | 3.829 | 1000 |
| 24.6 | 3.613 | 332 |
| 27.2 | 3.278 | 793 |
| 28.6 | 3.117 | 423 |
| 38.2 | 2.358 | 558 |
| 38.9 | 2.318 | 539 |

=====

(2)
BaTc2Ge2P: theoretical powder diffractogram (copper Kα), based on a structure optimized by DFT (GGA-PBE).
Neutral-atom scattering factors, no anomalous dispersion.

Structural model:
```
data_BaTc2Ge2P
_symmetry_space_group_name_H-M 'P 1'
_symmetry_Int_Tables_number 1
_symmetry_space_group_name_Hall 'P 1'
_cell_length_a 4.4982
_cell_length_b 4.4982
_cell_length_c 6.2354
_cell_angle_alpha 90.00
_cell_angle_beta 90.00
_cell_angle_gamma 90.00
loop_
_atom_site_label
_atom_site_type_symbol
_atom_site_fract_x
_atom_site_fract_y
_atom_site_fract_z
Ba1 Ba 0.0000 0.0000 0.0000
Tc1 Tc 0.0000 0.5000 0.5000
Tc2 Tc 0.5000 0.0000 0.5000
Ge1 Ge 0.5000 0.5000 0.2558
Ge2 Ge 0.5000 0.5000 0.7442
P1 P 0.0000 0.0000 0.5000
```

Principal peaks in the range 2θ from 15° to 90°, low angle first:
| 2theta | d [Å] | Rel. int. |
| --- | --- | --- |
| 31.6 | 2.833 | 1000 |
| 35.0 | 2.562 | 839 |
| 40.1 | 2.249 | 776 |
| 52.6 | 1.740 | 269 |
| 54.3 | 1.690 | 465 |
| 58.0 | 1.590 | 257 |

=====

(3)
Ba3GePb2: theoretical powder diffractogram (copper Kα), based on a structure optimized by DFT (GGA-PBE).
Neutral-atom scattering factors, no anomalous dispersion.

Structural model:
```
data_Ba3GePb2
_symmetry_space_group_name_H-M 'P 1'
_symmetry_Int_Tables_number 1
_symmetry_space_group_name_Hall 'P 1'
_cell_length_a 14.0506
_cell_length_b 4.9097
_cell_length_c 14.1359
_cell_angle_alpha 90.00
_cell_angle_beta 90.00
_cell_angle_gamma 90.00
loop_
_atom_site_label
_atom_site_type_symbol
_atom_site_fract_x
_atom_site_fract_y
_atom_site_fract_z
Ba1 Ba 0.0731 0.2500 0.1175
Ba2 Ba 0.1099 0.7500 0.5472
Ba3 Ba 0.2044 0.2500 0.7932
Ba4 Ba 0.2956 0.7500 0.2932
Ba5 Ba 0.3901 0.2500 0.0472
Ba6 Ba 0.4269 0.7500 0.6175
Ba7 Ba 0.5731 0.2500 0.3825
Ba8 Ba 0.6099 0.7500 0.9528
Ba9 Ba 0.7044 0.2500 0.7068
Ba10 Ba 0.7956 0.7500 0.2068
Ba11 Ba 0.8901 0.2500 0.4528
Ba12 Ba 0.9269 0.7500 0.8825
Ge1 Ge 0.1480 0.2500 0.3451
Ge2 Ge 0.3520 0.7500 0.8451
Ge3 Ge 0.6480 0.2500 0.1549
Ge4 Ge 0.8520 0.7500 0.6549
Pb1 Pb 0.0298 0.7500 0.3118
Pb2 Pb 0.2062 0.7500 0.9921
Pb3 Pb 0.2938 0.2500 0.4921
Pb4 Pb 0.4702 0.2500 0.8118
Pb5 Pb 0.5298 0.7500 0.1882
Pb6 Pb 0.7062 0.7500 0.5079
Pb7 Pb 0.7938 0.2500 0.0079
Pb8 Pb 0.9702 0.2500 0.6882
```

Principal peaks in the range 2θ from 15° to 90°, low angle first:
| 2theta | d [Å] | Rel. int. |
| --- | --- | --- |
| 25.5 | 3.497 | 366 |
| 26.2 | 3.403 | 798 |
| 27.0 | 3.298 | 1000 |
| 29.2 | 3.056 | 381 |
| 33.8 | 2.651 | 666 |
| 36.6 | 2.455 | 495 |

=====

(4)
Ba3Ge2Pb: theoretical powder diffractogram (copper Kα), based on a structure optimized by DFT (GGA-PBE).
Neutral-atom scattering factors, no anomalous dispersion.

Structural model:
```
data_Ba3Ge2Pb
_symmetry_space_group_name_H-M 'P 1'
_symmetry_Int_Tables_number 1
_symmetry_space_group_name_Hall 'P 1'
_cell_length_a 9.2798
_cell_length_b 10.6061
_cell_length_c 11.2841
_cell_angle_alpha 90.00
_cell_angle_beta 118.62
_cell_angle_gamma 90.00
loop_
_atom_site_label
_atom_site_type_symbol
_atom_site_fract_x
_atom_site_fract_y
_atom_site_fract_z
Ba1 Ba 0.2237 0.2116 0.3412
Ba2 Ba 0.2237 0.2884 0.8412
Ba3 Ba 0.2397 0.5504 0.1407
Ba4 Ba 0.2397 0.9496 0.6407
Ba5 Ba 0.2520 0.5559 0.5560
Ba6 Ba 0.2520 0.9441 0.0560
Ba7 Ba 0.7480 0.0559 0.9440
Ba8 Ba 0.7480 0.4441 0.4440
Ba9 Ba 0.7603 0.0504 0.3593
Ba10 Ba 0.7603 0.4496 0.8593
Ba11 Ba 0.7763 0.7116 0.1588
Ba12 Ba 0.7763 0.7884 0.6588
Ge1 Ge 0.0524 0.5670 0.7534
Ge2 Ge 0.0524 0.9330 0.2534
Ge3 Ge 0.4484 0.2490 0.1972
Ge4 Ge 0.4484 0.2510 0.6972
Ge5 Ge 0.5516 0.7490 0.3028
Ge6 Ge 0.5516 0.7510 0.8028
Ge7 Ge 0.9476 0.0670 0.7466
Ge8 Ge 0.9476 0.4330 0.2466
Pb1 Pb 0.3754 0.6422 0.9157
Pb2 Pb 0.3754 0.8578 0.4157
Pb3 Pb 0.6246 0.1422 0.5843
Pb4 Pb 0.6246 0.3578 0.0843
```

Principal peaks in the range 2θ from 15° to 90°, low angle first:
| 2theta | d [Å] | Rel. int. |
| --- | --- | --- |
| 26.5 | 3.361 | 522 |
| 26.7 | 3.337 | 1000 |
| 27.5 | 3.243 | 920 |
| 30.3 | 2.947 | 525 |
| 32.1 | 2.791 | 416 |
| 39.9 | 2.260 | 395 |